(1)
Calculated powder diffractogram of Li5Tl4Zn for Cu Kα (weighted mean of Kα1 and Kα2), from a cell relaxed with GGA-PBE.
Lines closer than 0.1° are merged.

Atomic structure:
```
Li5Tl4Zn
1.0
3.381 0.000 0.000
0.000 3.381 0.000
0.000 0.000 17.502
Li Tl Zn
5 4 1
Direct
0.000 0.000 0.000
0.000 0.000 0.210
0.000 0.000 0.417
0.000 0.000 0.583
0.000 0.000 0.790
0.500 0.500 0.105
0.500 0.500 0.315
0.500 0.500 0.685
0.500 0.500 0.895
0.500 0.500 0.500
```

The 10 most intense peaks (10 to 90 degrees two-theta), by angle:
2theta, I (rel.)
25.45, 48
26.36, 100
33.50, 15
36.97, 83
37.63, 45
45.98, 41
54.27, 16
60.86, 18
61.32, 19
67.48, 29



(2)
Calculated powder diffractogram of Rb2InBr5 for Cu Kα (weighted mean of Kα1 and Kα2), from a cell relaxed with GGA-PBE.
Lines closer than 0.1° are merged.

Atomic structure:
```
Rb2InBr5
1.0
8.199 0.000 0.000
0.000 8.199 0.000
0.000 0.000 9.797
Rb In Br
4 2 10
Direct
0.000 0.500 0.000
0.000 0.500 0.500
0.500 0.000 0.000
0.500 0.000 0.500
0.000 0.000 0.292
0.500 0.500 0.792
0.000 0.000 0.553
0.226 0.226 0.237
0.226 0.774 0.237
0.274 0.274 0.737
0.274 0.726 0.737
0.500 0.500 0.053
0.726 0.274 0.737
0.726 0.726 0.737
0.774 0.226 0.237
0.774 0.774 0.237
```

The 10 most intense peaks (10 to 90 degrees two-theta), by angle:
2theta, I (rel.)
14.09, 76
23.78, 36
28.39, 100
30.85, 89
36.69, 20
40.73, 22
44.19, 29
48.67, 31
53.36, 25
58.74, 19



(3)
Calculated powder diffractogram of TiTl3Bi2Te6 for Cu Kα (weighted mean of Kα1 and Kα2), from a cell relaxed with GGA-PBE.
Lines closer than 0.1° are merged.

Atomic structure:
```
TiTl3Bi2Te6
1.0
3.863 -6.685 0.000
3.863 6.685 0.000
-2.572 0.000 7.940
Ti Tl Bi Te
1 3 2 6
Direct
0.000 0.000 0.000
0.175 0.825 0.500
0.500 0.500 0.500
0.825 0.175 0.500
0.335 0.665 0.000
0.665 0.335 0.000
0.069 0.374 0.207
0.234 0.234 0.789
0.374 0.069 0.207
0.626 0.931 0.793
0.766 0.766 0.211
0.931 0.626 0.793
```

The 10 most intense peaks (10 to 90 degrees two-theta), by angle:
2theta, I (rel.)
27.53, 100
29.78, 5
38.17, 36
40.46, 36
45.71, 6
49.64, 18
56.84, 11
62.67, 13
65.90, 15
72.07, 10



(4)
Calculated powder diffractogram of Ac3SnPd8 for Cu Kα (weighted mean of Kα1 and Kα2), from a cell relaxed with GGA-PBE.
Lines closer than 0.1° are merged.

Atomic structure:
```
Ac3SnPd8
1.0
2.840 1.639 9.168
-2.840 1.639 9.168
0.000 -3.279 9.168
Ac Sn Pd
3 1 8
Direct
0.000 0.000 0.000
0.133 0.133 0.133
0.605 0.605 0.605
0.474 0.474 0.474
0.053 0.562 0.562
0.059 0.059 0.567
0.059 0.567 0.059
0.311 0.311 0.311
0.562 0.053 0.562
0.562 0.562 0.053
0.567 0.059 0.059
0.811 0.811 0.811
```

The 10 most intense peaks (10 to 90 degrees two-theta), by angle:
2theta, I (rel.)
29.09, 23
31.51, 55
31.75, 33
37.14, 55
37.25, 100
37.46, 34
38.89, 37
59.92, 25
60.07, 34
65.77, 30